For GdHoAsO, the PBE geometry in OQMD gives the theoretical X-ray diffraction stick pattern in this record (copper Kα).
Peak positions follow from Bragg's law for the DFT cell and can differ from measured ones.

Crystal structure
```
data_GdHoAsO
_chemical_formula_sum 'Gd2 Ho2 As2 O2'
_cell_length_a 4.190
_cell_length_b 7.548
_cell_length_c 5.980
_cell_angle_alpha 90.00
_cell_angle_beta 90.00
_cell_angle_gamma 90.00
_symmetry_space_group_name_H-M 'P m c 21'
_symmetry_Int_Tables_number 26
_symmetry_space_group_name_Hall 'P 2c -2'
loop_
_atom_site_label
_atom_site_type_symbol
_atom_site_fract_x
_atom_site_fract_y
_atom_site_fract_z
Gd1 Gd 0.000 0.208 0.000
Ho1 Ho 0.500 0.389 0.577
As1 As 0.000 0.166 0.490
O1 O 0.500 0.332 0.937
```

Main lines, by intensity (5 to 70 degrees two-theta):
hkl 1 1 0, d 3.663, I 1000; hkl 1 1 1, d 3.124, I 856; hkl 0 0 2, d 2.990, I 825; hkl 0 3 1, d 2.318, I 812; hkl 1 3 2, d 1.750, I 618; hkl 1 3 0, d 2.157, I 419; hkl 1 2 0, d 2.804, I 408; hkl 2 0 0, d 2.095, I 405; hkl 0 2 1, d 3.191, I 402; hkl 1 2 1, d 2.539, I 332; hkl 2 0 2, d 1.716, I 322; hkl 1 2 2, d 2.045, I 304



For GdYAsI2, the PBE geometry in OQMD gives the theoretical X-ray diffraction stick pattern in this record (copper Kα).
Peak positions follow from Bragg's law for the DFT cell and can differ from measured ones.

Crystal structure
```
data_GdYAsI2
_chemical_formula_sum 'Gd1 Y1 As1 I2'
_cell_length_a 4.1958
_cell_length_b 4.1958
_cell_length_c 10.9446
_cell_angle_alpha 90.00
_cell_angle_beta 90.00
_cell_angle_gamma 120.00
_symmetry_space_group_name_H-M 'P 3 m 1'
_symmetry_Int_Tables_number 156
_symmetry_space_group_name_Hall 'P 3 -2"'
loop_
_atom_site_label
_atom_site_type_symbol
_atom_site_fract_x
_atom_site_fract_y
_atom_site_fract_z
Gd1 Gd 0.0000 0.0000 0.0000
Y1 Y 0.3333 0.6667 0.2833
As1 As 0.6667 0.3333 0.1433
I1 I 0.0000 0.0000 0.4674
I2 I 0.3333 0.6667 0.8139
```

Main lines, by intensity (5 to 70 degrees two-theta):
hkl 1 0 2, d 3.027, I 1000; hkl 0 1 4, d 2.186, I 320; hkl 1 1 0, d 2.098, I 320; hkl 0 0 1, d 10.945, I 273; hkl 0 2 2, d 1.724, I 189; hkl 1 0 0, d 3.635, I 161; hkl 2 0 4, d 1.514, I 115; hkl 1 1 6, d 1.377, I 107; hkl 1 0 3, d 2.575, I 78; hkl 0 0 2, d 5.472, I 66; hkl 0 1 5, d 1.875, I 55; hkl 1 1 4, d 1.665, I 53



For K2Gd2AsP, the PBE geometry in OQMD gives the theoretical X-ray diffraction stick pattern in this record (copper Kα).
Peak positions follow from Bragg's law for the DFT cell and can differ from measured ones.

Crystal structure
```
data_K2Gd2AsP
_chemical_formula_sum 'K2 Gd2 As1 P1'
_cell_length_a 5.004
_cell_length_b 5.004
_cell_length_c 7.837
_cell_angle_alpha 90.00
_cell_angle_beta 90.00
_cell_angle_gamma 90.00
_symmetry_space_group_name_H-M 'P 4 m m'
_symmetry_Int_Tables_number 99
_symmetry_space_group_name_Hall 'P 4 -2'
loop_
_atom_site_label
_atom_site_type_symbol
_atom_site_fract_x
_atom_site_fract_y
_atom_site_fract_z
K1 K 0.000 0.000 0.000
K2 K 0.500 0.500 0.233
Gd1 Gd 0.000 0.500 0.609
As1 As 0.500 0.500 0.805
P1 P 0.000 0.000 0.439
```

Main lines, by intensity (5 to 70 degrees two-theta):
hkl 0 0 1, d 7.837, I 1000; hkl 1 1 1, d 3.225, I 668; hkl 1 1 2, d 2.626, I 499; hkl 2 0 0, d 2.502, I 378; hkl 1 1 3, d 2.102, I 240; hkl 2 0 1, d 2.383, I 229; hkl 3 1 2, d 1.467, I 166; hkl 3 1 1, d 1.551, I 151; hkl 1 0 2, d 3.085, I 149; hkl 1 1 4, d 1.714, I 144; hkl 0 0 2, d 3.918, I 143; hkl 2 2 0, d 1.769, I 130



For LiGd4As2, the PBE geometry in OQMD gives the theoretical X-ray diffraction stick pattern in this record (copper Kα).
Peak positions follow from Bragg's law for the DFT cell and can differ from measured ones.

Crystal structure
```
data_LiGd4As2
_chemical_formula_sum 'Li1 Gd4 As2'
_cell_length_a 5.589
_cell_length_b 5.589
_cell_length_c 6.698
_cell_angle_alpha 90.00
_cell_angle_beta 90.00
_cell_angle_gamma 90.00
_symmetry_space_group_name_H-M 'P -4 2 m'
_symmetry_Int_Tables_number 111
_symmetry_space_group_name_Hall 'P -4 2'
loop_
_atom_site_label
_atom_site_type_symbol
_atom_site_fract_x
_atom_site_fract_y
_atom_site_fract_z
Li1 Li 0.000 0.000 0.000
Gd1 Gd 0.270 0.270 0.308
As1 As 0.000 0.500 0.000
```

Main lines, by intensity (5 to 70 degrees two-theta):
hkl 1 1 1, d 3.404, I 1000; hkl 2 0 2, d 2.146, I 300; hkl 1 1 2, d 2.555, I 251; hkl 3 1 1, d 1.709, I 244; hkl 2 0 1, d 2.579, I 190; hkl 2 2 0, d 1.976, I 173; hkl 2 0 0, d 2.795, I 165; hkl 0 0 3, d 2.233, I 114; hkl 2 2 3, d 1.480, I 112; hkl 1 1 4, d 1.542, I 110; hkl 3 1 2, d 1.563, I 95; hkl 0 0 2, d 3.349, I 63